The following is a simulated XRD peak list of Li6AcPb6. It was derived from a PBE-relaxed structure, using Cu Ka.

The 10 most intense peaks (10° ≤ 2θ ≤ 90°), by angle:
| index | 2theta | I/Imax |
| --- | --- | --- |
| 0 2 0 | 18.0 | 59 |
| 1 2 1 | 24.8 | 23 |
| 2 0 0 | 29.5 | 51 |
| 1 0 3 | 29.6 | 100 |
| 2 2 0 | 34.8 | 27 |
| 1 2 3 | 34.9 | 52 |
| 1 3 2 | 35.6 | 29 |
| 2 4 0 | 47.7 | 21 |
| 3 0 3 | 52.4 | 21 |
| 2 6 0 | 64.7 | 41 |

Structural model:
```
data_Li6AcPb6
_cell_length_a 6.062
_cell_length_b 9.834
_cell_length_c 10.431
_cell_angle_alpha 90.00
_cell_angle_beta 90.00
_cell_angle_gamma 90.00
_space_group_name_H-M_alt 'I m m m'
_space_group_IT_number 71
_space_group_name_Hall '-I 2 2'
loop_
_atom_site_label
_atom_site_fract_x
_atom_site_fract_y
_atom_site_fract_z
_atom_site_occupancy
Li1 0.000 0.246 0.000 1
Li2 0.250 0.250 0.250 1
Ac1 0.000 0.500 0.500 1
Pb1 0.000 0.000 0.174 1
Pb2 0.000 0.154 0.500 1
Pb3 0.000 0.500 0.158 1
```

=====

The following is a simulated XRD peak list of Li3AcPb3. It was derived from a PBE-relaxed structure, using Cu Ka.

The 10 most intense peaks (10° ≤ 2θ ≤ 90°), by angle:
| index | 2theta | I/Imax |
| --- | --- | --- |
| 2 0 0 | 24.2 | 38 |
| 2 1 0 | 27.1 | 100 |
| 2 1 1 | 29.7 | 92 |
| 3 2 0 | 44.4 | 27 |
| 3 2 1 | 46.2 | 57 |
| 4 0 0 | 49.6 | 23 |
| 4 2 1 | 57.4 | 26 |
| 5 2 0 | 68.7 | 23 |
| 5 2 1 | 70.0 | 17 |
| 6 1 1 | 80.5 | 18 |

Structural model:
```
data_Li3AcPb3
_cell_length_a 7.358
_cell_length_b 7.358
_cell_length_c 7.358
_cell_angle_alpha 90.00
_cell_angle_beta 90.00
_cell_angle_gamma 90.00
_space_group_name_H-M_alt 'P m -3 n'
_space_group_IT_number 223
_space_group_name_Hall '-P 4n 2 3'
loop_
_atom_site_label
_atom_site_fract_x
_atom_site_fract_y
_atom_site_fract_z
_atom_site_occupancy
Li1 0.000 0.250 0.500 1
Ac1 0.000 0.000 0.000 1
Pb1 0.000 0.500 0.250 1
```

=====

The following is a simulated XRD peak list of Li3Ac2PmPb4. It was derived from a PBE-relaxed structure, using Cu Ka.

The 10 most intense peaks (10° ≤ 2θ ≤ 90°), by angle:
| index | 2theta | I/Imax |
| --- | --- | --- |
| 1 0 2 | 23.4 | 37 |
| 1 1 1 | 27.1 | 16 |
| 1 0 3 | 28.5 | 21 |
| 1 1 2 | 29.9 | 100 |
| 1 0 4 | 34.5 | 17 |
| 2 0 0 | 37.2 | 43 |
| 1 0 5 | 41.0 | 18 |
| 2 2 0 | 53.6 | 15 |
| 1 1 7 | 58.9 | 16 |
| 3 1 2 | 62.6 | 25 |

Structural model:
```
data_Li3Ac2PmPb4
_cell_length_a 4.835
_cell_length_b 4.835
_cell_length_c 12.348
_cell_angle_alpha 90.00
_cell_angle_beta 90.00
_cell_angle_gamma 90.00
_space_group_name_H-M_alt 'P -4 m 2'
_space_group_IT_number 115
loop_
_space_group_symop_operation_xyz
'x,y,z'
'y,-x,-z'
'-x,-y,z'
'-y,x,-z'
'-x,y,z'
'-y,-x,-z'
'x,-y,z'
'y,x,-z'
loop_
_atom_site_label
_atom_site_fract_x
_atom_site_fract_y
_atom_site_fract_z
_atom_site_occupancy
Li1 0.000 0.000 0.000 1
Li2 0.000 0.500 0.622 1
Ac1 0.000 0.500 0.274 1
Pm1 0.500 0.500 0.000 1
Pb1 0.000 0.000 0.500 1
Pb2 0.000 0.500 0.842 1
Pb3 0.500 0.500 0.500 1
```

=====

The following is a simulated XRD peak list of Li2AcSn2Pb. It was derived from a PBE-relaxed structure, using Cu Ka.

The 10 most intense peaks (10° ≤ 2θ ≤ 90°), by angle:
| index | 2theta | I/Imax |
| --- | --- | --- |
| 1 0 0 | 17.7 | 16 |
| 1 1 0 | 25.2 | 95 |
| 1 0 2 | 32.4 | 100 |
| 2 0 0 | 35.9 | 41 |
| 2 1 2 | 49.1 | 64 |
| 2 2 0 | 51.6 | 15 |
| 3 1 0 | 58.3 | 20 |
| 3 0 2 | 62.3 | 16 |
| 3 2 2 | 74.0 | 20 |
| 4 1 2 | 85.1 | 14 |

Structural model:
```
data_Li2AcSn2Pb
_cell_length_a 5.005
_cell_length_b 5.005
_cell_length_c 6.634
_cell_angle_alpha 90.00
_cell_angle_beta 90.00
_cell_angle_gamma 90.00
_space_group_name_H-M_alt 'P 4/m m m'
_space_group_IT_number 123
_space_group_name_Hall '-P 4 2'
loop_
_atom_site_label
_atom_site_fract_x
_atom_site_fract_y
_atom_site_fract_z
_atom_site_occupancy
Li1 0.000 0.500 0.000 1
Ac1 0.000 0.000 0.500 1
Sn1 0.500 0.500 0.279 1
Pb1 0.000 0.000 0.000 1
```